Dy3InHg5: calculated powder diffractogram (Cu Kα, 1.54184 Å), based on a structure optimized by DFT (GGA-PBE).
Lines closer than 0.1° are merged.

Top 10 peaks for 2θ = 10–90°, by angle:
(hkl)	d/Å	Rel. int.
0 0 2	3.184	7
1 1 2	2.595	89
3 0 0	2.585	100
3 0 2	2.007	12
2 2 2	1.832	32
0 0 4	1.592	8
3 3 0	1.494	51
3 0 4	1.356	27
6 0 0	1.293	12
5 2 2	1.157	15

Structural model:
Lattice parameters (Å, degrees): 8.9560 8.9560 6.3680 90.00 90.00 120.00
Fractional coordinates of all 18 atoms:
Dy1 0.0000 0.3392 0.2500
Dy2 0.0000 0.6608 0.7500
Dy3 0.3392 0.0000 0.2500
Dy4 0.3392 0.3392 0.7500
Dy5 0.6608 0.0000 0.7500
Dy6 0.6608 0.6608 0.2500
In1 0.0000 0.0000 0.0000
In2 0.0000 0.0000 0.5000
Hg1 0.0000 0.3286 0.7500
Hg2 0.0000 0.6714 0.2500
Hg3 0.3286 0.0000 0.7500
Hg4 0.3286 0.3286 0.2500
Hg5 0.3333 0.6667 0.0000
Hg6 0.3333 0.6667 0.5000
Hg7 0.6667 0.3333 0.0000
Hg8 0.6667 0.3333 0.5000
Hg9 0.6714 0.0000 0.2500
Hg10 0.6714 0.6714 0.7500